This entry pairs a crystal structure of Tl2HPtC5N5O with its simulated XRD peak list. Radiation: Cu Kα. Structure: the PBE geometry in the Materials Project.

Crystal structure
Cell lengths 6.782, 20.629, 9.211 Å; angles 90.00, 115.87, 90.00 degrees
Atoms (fractional coordinates):
1 Tl 0.140 0.082 0.209
2 Tl 0.140 0.418 0.709
3 Tl 0.235 0.718 0.176
4 Tl 0.235 0.782 0.676
5 Tl 0.765 0.218 0.324
6 Tl 0.765 0.282 0.824
7 Tl 0.860 0.582 0.291
8 Tl 0.860 0.918 0.791
9 H 0.087 0.584 0.053
10 H 0.087 0.916 0.553
11 H 0.913 0.084 0.447
12 H 0.913 0.416 0.947
13 Pt 0.271 0.119 0.692
14 Pt 0.271 0.381 0.192
15 Pt 0.729 0.619 0.808
16 Pt 0.729 0.881 0.308
17 C 0.068 0.086 0.783
18 C 0.068 0.414 0.283
19 C 0.179 0.212 0.703
20 C 0.179 0.288 0.203
21 C 0.346 0.027 0.667
22 C 0.346 0.473 0.167
23 C 0.468 0.151 0.595
24 C 0.468 0.349 0.095
25 C 0.487 0.626 0.586
26 C 0.487 0.874 0.086
27 C 0.513 0.126 0.914
28 C 0.513 0.374 0.414
29 C 0.532 0.651 0.905
30 C 0.532 0.849 0.405
31 C 0.654 0.527 0.833
32 C 0.654 0.973 0.333
33 C 0.821 0.712 0.797
34 C 0.821 0.788 0.297
35 C 0.932 0.586 0.717
36 C 0.932 0.914 0.217
37 N 0.040 0.563 0.660
38 N 0.040 0.937 0.160
39 N 0.120 0.234 0.202
40 N 0.120 0.266 0.702
41 N 0.347 0.633 0.455
42 N 0.347 0.867 0.955
43 N 0.376 0.527 0.147
44 N 0.376 0.973 0.647
45 N 0.432 0.671 0.972
46 N 0.432 0.829 0.472
47 N 0.568 0.171 0.528
48 N 0.568 0.329 0.028
49 N 0.624 0.027 0.353
50 N 0.624 0.473 0.853
51 N 0.653 0.133 0.045
52 N 0.653 0.367 0.545
53 N 0.880 0.734 0.298
54 N 0.880 0.766 0.798
55 N 0.960 0.063 0.840
56 N 0.960 0.437 0.340
57 O 0.026 0.116 0.455
58 O 0.026 0.384 0.955
59 O 0.974 0.616 0.045
60 O 0.974 0.884 0.545

Largest 10 diffraction maxima, low angle first, 15° ≤ 2θ ≤ 90°:
18.89°, intensity 26.6; 19.45°, intensity 100.0; 21.44°, intensity 38.4; 23.83°, intensity 43.0; 25.11°, intensity 33.7; 27.73°, intensity 17.6; 28.10°, intensity 26.1; 30.93°, intensity 22.6; 39.35°, intensity 18.6; 45.77°, intensity 18.2